Structure and simulated PXRD pattern of LiTiFeO4 (DFT lattice parameters and positions (GGA+U); Cu Ka).
Kinematic intensities with the Lorentz-polarization factor, no thermal factor.

The 6 most intense peaks (5 to 70 degrees two-theta), low angle first:
Position (°2θ)  d (Å)  I (rel.)
23.58  3.773  32
29.87  2.991  30
30.08  2.971  63
35.23  2.548  100
35.58  2.523  52
62.52  1.486  48

Cell and atoms:
```
28
Lattice="5.9819 0.0000 0.0000 0.0000 5.9819 0.0000 0.0000 0.0000 8.3486" Properties=species:S:1:pos:R:3 pbc="T T T"
Li 0.0000 1.3870 0.0000
Li 0.0000 4.5949 4.1743
Li 1.3870 0.0000 2.0871
Li 4.5949 0.0000 6.2614
Ti 1.3286 2.9910 2.0871
Ti 2.9910 1.3286 0.0000
Ti 2.9910 4.6533 4.1743
Ti 4.6533 2.9910 6.2614
Fe 1.5388 1.5388 5.2179
Fe 1.5388 4.4431 7.3050
Fe 4.4431 1.5388 3.1307
Fe 4.4431 4.4431 1.0436
O 0.0877 1.5924 2.1456
O 0.0877 4.3895 2.0287
O 1.5844 2.9153 0.1277
O 1.5844 3.0666 4.0466
O 1.5924 0.0877 8.2901
O 1.5924 5.8942 4.2328
O 2.9153 1.5844 1.9594
O 2.9153 4.3975 2.2149
O 3.0666 1.5844 6.3892
O 3.0666 4.3975 6.1337
O 4.3895 0.0877 0.0585
O 4.3895 5.8942 4.1158
O 4.3975 2.9153 8.2209
O 4.3975 3.0666 4.3020
O 5.8942 1.5924 6.2030
O 5.8942 4.3895 6.3199
```